# 1
Structure and calculated powder diffraction line list of La5Pm5Dy (DFT lattice parameters and positions (PBE); λ = 1.5418 Å (Cu Kα)).
Kinematic intensities with the Lorentz-polarization factor, no thermal factor.

Main lines, low angle first (10 to 80 degrees two-theta):
28.92°, I 100
29.83°, I 58
32.49°, I 87
32.66°, I 84
42.03°, I 46
59.80°, I 29

Crystal structure
Unit cell a=10.1288 b=10.1288 c=7.1489 alpha=110.28 beta=110.28 gamma=35.49
Atoms (fractional coordinates):
La 0.0000 0.0000 0.0000
La 0.3261 0.3261 0.0700
La 0.3256 0.3256 0.5829
La 0.6744 0.6744 0.4171
La 0.6739 0.6739 0.9300
Pm 0.1241 0.1241 0.6265
Pm 0.1686 0.1686 0.1708
Pm 0.5000 0.5000 0.5000
Pm 0.8314 0.8314 0.8292
Pm 0.8759 0.8759 0.3735
Dy 0.5000 0.5000 0.0000



# 2
Structure and calculated powder diffraction line list of La6PmDy3 (DFT lattice parameters and positions (PBE); λ = 1.5418 Å (Cu Kα)).
Kinematic intensities with the Lorentz-polarization factor, no thermal factor.

Main lines, low angle first (10 to 80 degrees two-theta):
28.11°, I 62
30.77°, I 100
30.91°, I 20
42.17°, I 20
53.10°, I 20
54.74°, I 25

Crystal structure
Unit cell a=7.1059 b=7.1059 c=7.1059 alpha=90.18 beta=90.18 gamma=90.18
Atoms (fractional coordinates):
La 0.0005 0.3256 0.6738
La 0.1738 0.8254 0.5004
La 0.3256 0.6738 0.0005
La 0.5004 0.1738 0.8254
La 0.6738 0.0005 0.3256
La 0.8254 0.5004 0.1738
Pm 0.0005 0.0005 0.0005
Dy 0.2522 0.2522 0.2522
Dy 0.5005 0.5005 0.5005
Dy 0.7482 0.7482 0.7482



# 3
Structure and calculated powder diffraction line list of La2PmDy8 (DFT lattice parameters and positions (PBE); λ = 1.5418 Å (Cu Kα)).
Kinematic intensities with the Lorentz-polarization factor, no thermal factor.

Main lines, low angle first (10 to 80 degrees two-theta):
29.49°, I 29
31.86°, I 100
32.10°, I 52
33.39°, I 27
46.99°, I 21
57.06°, I 19

Crystal structure
Unit cell a=9.4414 b=9.4414 c=9.4414 alpha=145.63 beta=128.68 gamma=63.23
Atoms (fractional coordinates):
La 0.2009 0.2009 0.0000
La 0.7991 0.7991 0.0000
Pm 0.5000 0.5000 0.0000
Dy 0.0712 0.3643 0.7070
Dy 0.2073 0.0000 0.2073
Dy 0.3405 0.8405 0.5000
Dy 0.3427 0.6357 0.7070
Dy 0.6573 0.3643 0.2930
Dy 0.6595 0.1595 0.5000
Dy 0.7927 0.0000 0.7927
Dy 0.9288 0.6357 0.2930